Structure and calculated powder diffractogram of Hf4Sc2Ge3N3 (a cell relaxed with PBE; CuKα).
Peak positions follow from Bragg's law for the DFT cell and can differ from measured ones.

Largest 10 diffraction maxima, sorted by position, 2θ from 10° to 80°:
2theta	I (rel.)	h k l
18.47	115	1 1 0
32.05	224	3 1 -1
37.86	1000	0 2 3
39.87	168	0 0 6
52.04	144	3 1 5
57.12	217	6 0 -2
70.59	158	6 2 1
71.06	134	3 1 8
71.90	91	6 0 -8
71.93	90	6 0 4

Structural model:
a b c (Å): 9.673 5.587 13.948
angles (deg): 90.00 103.41 90.00
Space group C2/c (No. 15)
One atom of each set of equivalent atoms:
Hf (0.114, 0.086, 0.091) x8
Hf (0.221, 0.082, 0.409) x8
Sc (0.051, 0.418, 0.907) x8
Ge (0.000, 0.075, 0.750) x4
Ge (0.169, 0.414, 0.250) x8
N (0.084, 0.248, 0.500) x8
N (0.250, 0.250, 0.000) x4

Structure and calculated powder diffractogram of DyErZr2Ge2 (a cell relaxed with PBE; CuKα).
Peak positions follow from Bragg's law for the DFT cell and can differ from measured ones.

Largest 10 diffraction maxima, sorted by position, 2θ from 10° to 80°:
2theta	I (rel.)	h k l
30.19	327	1 1 0
31.12	554	1 0 2
32.29	1000	1 1 1
34.03	423	0 0 3
37.98	828	1 1 2
43.22	644	2 0 0
54.21	235	2 1 2
56.12	400	2 0 3
62.81	412	2 2 0
75.76	248	3 1 2

Structural model:
a b c (Å): 4.187 4.187 7.904
angles (deg): 90.00 90.00 90.00
Space group P4mm (No. 99)
One atom of each set of equivalent atoms:
Dy (0.000, 0.000, 0.000) x1
Er (0.500, 0.500, 0.304) x1
Zr (0.000, 0.500, 0.650) x2
Ge (0.000, 0.000, 0.384) x1
Ge (0.500, 0.500, 0.916) x1

Structure and calculated powder diffractogram of MgCu5Sn2 (a cell relaxed with PBE; CuKα).
Peak positions follow from Bragg's law for the DFT cell and can differ from measured ones.

Largest 10 diffraction maxima, sorted by position, 2θ from 10° to 80°:
2theta	I (rel.)	h k l
24.72	211	1 0 1
40.84	504	2 0 0
40.95	1000	1 1 2
48.33	77	2 1 1
48.52	38	1 0 3
59.14	164	2 2 0
59.47	80	0 0 4
65.24	34	2 1 3
74.44	326	3 1 2
74.66	161	2 0 4

Structural model:
a b c (Å): 4.419 4.419 6.217
angles (deg): 90.00 90.00 90.00
Space group P4/mmm (No. 123)
One atom of each set of equivalent atoms:
Mg (0.000, 0.000, 0.000) x1
Cu (0.000, 0.500, 0.252) x4
Cu (0.500, 0.500, 0.500) x1
Sn (0.000, 0.000, 0.500) x1
Sn (0.500, 0.500, 0.000) x1

Structure and calculated powder diffractogram of TbSmZr2Sb2 (a cell relaxed with PBE; CuKα).
Peak positions follow from Bragg's law for the DFT cell and can differ from measured ones.

Largest 10 diffraction maxima, sorted by position, 2θ from 10° to 80°:
2theta	I (rel.)	h k l
29.37	457	1 1 0
31.28	916	1 1 2
31.94	389	0 0 6
33.84	644	1 0 5
36.47	1000	1 1 4
42.02	712	2 0 0
53.74	352	2 0 6
55.01	320	2 1 5
60.93	234	2 2 0
73.14	252	3 1 4

Structural model:
a b c (Å): 4.300 4.300 16.810
angles (deg): 90.00 90.00 90.00
Space group I4mm (No. 107)
One atom of each set of equivalent atoms:
Tb (0.000, 0.000, 0.000) x2
Sm (0.000, 0.000, 0.646) x2
Zr (0.000, 0.500, 0.324) x4
Sb (0.000, 0.000, 0.193) x2
Sb (0.000, 0.000, 0.455) x2

Structure and calculated powder diffractogram of ZrSc2Ni4Ge4 (a cell relaxed with PBE; CuKα).
Peak positions follow from Bragg's law for the DFT cell and can differ from measured ones.

Largest 10 diffraction maxima, sorted by position, 2θ from 10° to 80°:
2theta	I (rel.)	h k l
36.31	1000	1 2 1
37.25	258	0 1 5
38.59	670	1 1 4
41.80	279	0 0 6
46.31	261	0 3 3
46.52	427	2 0 0
49.60	231	1 3 2
50.49	553	1 2 5
67.74	155	2 3 3
79.52	165	0 3 9

Structural model:
a b c (Å): 3.904 6.600 12.967
angles (deg): 90.00 90.00 90.00
Space group Immm (No. 71)
One atom of each set of equivalent atoms:
Zr (0.000, 0.000, 0.000) x2
Sc (0.000, 0.500, 0.128) x4
Ni (0.000, 0.302, 0.323) x8
Ge (0.000, 0.000, 0.217) x4
Ge (0.000, 0.198, 0.500) x4

Structure and calculated powder diffractogram of MgScCuTe2Se (a cell relaxed with PBE; CuKα).
Peak positions follow from Bragg's law for the DFT cell and can differ from measured ones.

Largest 10 diffraction maxima, sorted by position, 2θ from 10° to 80°:
2theta	I (rel.)	h k l
24.94	332	1 1 1
29.05	858	0 2 3
29.98	381	1 3 0
31.23	416	1 3 1
34.73	1000	1 3 2
35.12	325	1 1 3
44.06	270	1 5 2
45.81	353	2 0 0
48.47	340	1 5 3
55.15	265	2 2 3

Structural model:
a b c (Å): 3.962 13.571 10.348
angles (deg): 90.00 90.00 90.00
Space group Cmcm (No. 63)
One atom of each set of equivalent atoms:
Mg (0.000, 0.240, 0.250) x4
Sc (0.000, 0.500, 0.000) x4
Cu (0.000, 0.017, 0.750) x4
Te (0.000, 0.149, 0.568) x8
Se (0.000, 0.409, 0.750) x4

Structure and calculated powder diffractogram of Cu15Sb (a cell relaxed with PBE; CuKα).
Peak positions follow from Bragg's law for the DFT cell and can differ from measured ones.

Largest 10 diffraction maxima, sorted by position, 2θ from 10° to 80°:
2theta	I (rel.)	h k l
10.37	207	0 4 0
42.65	640	1 13 -1
43.35	1000	2 0 0
44.93	309	1 14 -1
49.70	391	1 13 1
50.80	309	2 0 -2
51.74	198	1 14 1
73.79	217	3 13 -1
73.91	96	2 0 2
75.43	116	3 14 -1

Structural model:
a b c (Å): 4.418 34.117 4.417
angles (deg): 90.00 108.99 90.00
Space group P2/c (No. 13)
One atom of each set of equivalent atoms:
Cu (0.000, 0.018, 0.250) x2
Cu (0.000, 0.056, 0.750) x2
Cu (0.000, 0.093, 0.250) x2
Cu (0.000, 0.131, 0.750) x2
Cu (0.000, 0.167, 0.250) x2
Cu (0.000, 0.205, 0.750) x2
Cu (0.000, 0.243, 0.250) x2
Cu (0.000, 0.280, 0.750) x2
Cu (0.500, 0.019, 0.750) x2
Cu (0.500, 0.056, 0.250) x2
Cu (0.500, 0.093, 0.750) x2
Cu (0.500, 0.130, 0.250) x2
Cu (0.500, 0.167, 0.750) x2
Cu (0.500, 0.205, 0.250) x2
Cu (0.500, 0.243, 0.750) x2
Sb (0.500, 0.290, 0.250) x2

Structure and calculated powder diffractogram of KNaMoPd (a cell relaxed with PBE; CuKα).
Peak positions follow from Bragg's law for the DFT cell and can differ from measured ones.

Largest 9 diffraction maxima, sorted by position, 2θ from 10° to 80°:
2theta	I (rel.)	h k l
21.32	334	1 1 1
35.16	1000	2 2 0
41.48	178	3 1 1
50.57	169	4 0 0
55.48	76	3 3 1
63.08	338	4 2 2
67.40	57	5 1 1
74.32	102	4 4 0
78.35	58	5 3 1

Structural model:
a b c (Å): 7.220 7.220 7.220
angles (deg): 90.00 90.00 90.00
Space group F-43m (No. 216)
One atom of each set of equivalent atoms:
K (0.000, 0.000, 0.000) x4
Na (0.250, 0.250, 0.750) x4
Mo (0.000, 0.000, 0.500) x4
Pd (0.250, 0.250, 0.250) x4

Structure and calculated powder diffractogram of RbSnTe4Au3 (a cell relaxed with PBE; CuKα).
Peak positions follow from Bragg's law for the DFT cell and can differ from measured ones.

Largest 10 diffraction maxima, sorted by position, 2θ from 10° to 80°:
2theta	I (rel.)	h k l
13.14	1000	0 1 1
13.79	466	1 0 0
22.34	564	0 2 1
25.51	741	1 2 -1
25.64	525	1 0 -3
29.38	543	2 0 -2
30.41	669	1 0 3
31.42	499	1 2 2
39.69	799	2 2 -3
40.16	411	0 3 3

Structural model:
a b c (Å): 6.544 8.544 11.161
angles (deg): 90.00 101.12 90.00
Space group P2_1/m (No. 11)
One atom of each set of equivalent atoms:
Rb (0.222, 0.250, 0.375) x2
Sn (0.115, 0.250, 0.774) x2
Te (0.013, 0.750, 0.997) x2
Te (0.197, 0.750, 0.432) x2
Te (0.346, 0.545, 0.769) x4
Au (0.343, 0.562, 0.058) x4
Au (0.498, 0.750, 0.298) x2

Structure and calculated powder diffractogram of Pr2BeNiGe2 (a cell relaxed with PBE; CuKα).
Peak positions follow from Bragg's law for the DFT cell and can differ from measured ones.

Largest 10 diffraction maxima, sorted by position, 2θ from 10° to 80°:
2theta	I (rel.)	h k l
10.39	78	0 0 1
25.15	203	1 0 0
32.91	1000	1 0 2
42.49	131	0 0 4
44.31	353	1 1 0
50.01	61	1 0 4
56.28	213	2 0 2
63.06	238	1 1 4
71.68	97	1 0 6
74.29	184	2 1 2

Structural model:
a b c (Å): 4.0888 4.0888 8.5104
angles (deg): 90.00 90.00 120.00
Space group P-6m2 (No. 187)
One atom of each set of equivalent atoms:
Pr (0.0000, 0.0000, 0.2429) x2
Be (0.6667, 0.3333, 0.5000) x1
Ni (0.3333, 0.6667, 0.0000) x1
Ge (0.3333, 0.6667, 0.5000) x1
Ge (0.6667, 0.3333, 0.0000) x1

Structure and calculated powder diffractogram of NaLuPdSe3 (a cell relaxed with PBE; CuKα).
Peak positions follow from Bragg's law for the DFT cell and can differ from measured ones.

Largest 10 diffraction maxima, sorted by position, 2θ from 10° to 80°:
2theta	I (rel.)	h k l
12.15	1000	0 2 0
29.43	144	1 1 2
29.61	156	0 2 3
30.44	162	1 3 1
34.30	692	1 3 2
36.12	121	0 0 4
38.25	136	0 2 4
42.57	408	1 5 2
45.70	150	2 0 0
47.46	101	2 2 0

Structural model:
a b c (Å): 3.970 14.566 9.946
angles (deg): 90.00 90.00 90.00
Space group Cmcm (No. 63)
One atom of each set of equivalent atoms:
Na (0.000, 0.231, 0.250) x4
Lu (0.000, 0.000, 0.000) x4
Pd (0.000, 0.492, 0.750) x4
Se (0.000, 0.101, 0.750) x4
Se (0.000, 0.371, 0.572) x8

Structure and calculated powder diffractogram of Li2BeNi (a cell relaxed with PBE; CuKα).
Peak positions follow from Bragg's law for the DFT cell and can differ from measured ones.

Largest 8 diffraction maxima, sorted by position, 2θ from 10° to 80°:
2theta	I (rel.)	h k l
28.09	1000	1 1 1
32.55	488	2 0 0
46.69	651	2 2 0
55.38	408	3 1 1
58.07	114	2 2 2
68.18	97	4 0 0
75.29	152	3 3 1
77.60	134	4 2 0

Structural model:
a b c (Å): 5.502 5.502 5.502
angles (deg): 90.00 90.00 90.00
Space group F-43m (No. 216)
One atom of each set of equivalent atoms:
Li (0.000, 0.000, 0.000) x4
Li (0.250, 0.250, 0.250) x4
Be (0.000, 0.000, 0.500) x4
Ni (0.250, 0.250, 0.750) x4